# 1
Computed powder X-ray diffraction pattern of KCaNiH4 for copper Kα, from a GGA-PBE-relaxed structure.
Neutral-atom scattering factors, no anomalous dispersion.

Atomic structure:
abc: 5.2141 5.3779 7.4716
angles: 90.00 102.83 90.00
Atoms (fractional coordinates):
K1 0.2030 0.2500 0.4112
K2 0.7970 0.7500 0.5888
Ca1 0.2969 0.7500 0.0395
Ca2 0.7031 0.2500 0.9605
Ni1 0.1534 0.2500 0.8314
Ni2 0.8466 0.7500 0.1686
H1 0.1193 0.7500 0.3186
H2 0.2770 0.5051 0.7821
H3 0.2770 0.9949 0.7821
H4 0.2865 0.2500 0.0401
H5 0.7135 0.7500 0.9599
H6 0.7230 0.0051 0.2179
H7 0.7230 0.4949 0.2179
H8 0.8807 0.2500 0.6814

Largest 10 diffraction maxima, most intense first, 2θ = 10–80°:
| 2theta | I_rel |
| --- | --- |
| 29.62 | 100 |
| 33.32 | 69 |
| 12.15 | 57 |
| 20.53 | 44 |
| 26.76 | 42 |
| 28.80 | 42 |
| 39.20 | 41 |
| 24.09 | 39 |
| 41.05 | 33 |
| 37.36 | 29 |

=====

# 2
Computed powder X-ray diffraction pattern of RbIn3Pb for copper Kα, from a GGA-PBE-relaxed structure.
Neutral-atom scattering factors, no anomalous dispersion.

Atomic structure:
abc: 6.9315 6.9775 6.9876
angles: 90.00 90.00 90.00
Atoms (fractional coordinates):
Rb1 0.0000 0.2444 0.0000
Rb2 0.5000 0.7556 0.5000
In1 0.0000 0.6036 0.6593
In2 0.2470 0.2606 0.5041
In3 0.2530 0.7394 0.0041
In4 0.5000 0.3964 0.1593
In5 0.7470 0.7394 0.0041
In6 0.7530 0.2606 0.5041
Pb1 0.0000 0.8986 0.3553
Pb2 0.5000 0.1014 0.8553

Largest 10 diffraction maxima, most intense first, 2θ = 10–80°:
| 2theta | I_rel |
| --- | --- |
| 31.54 | 100 |
| 40.89 | 68 |
| 22.10 | 58 |
| 28.59 | 47 |
| 38.76 | 44 |
| 18.02 | 28 |
| 62.47 | 27 |
| 25.51 | 25 |
| 31.42 | 24 |
| 36.53 | 23 |